CsZn2NiF8: calculated powder XRD pattern (Cu Ka), based on a cell relaxed with PBE+U.

Most intense lines, 2θ from 10° to 90°, low angle first:
two_theta	I_rel
24.2	100
32.6	11
33.8	38
35.0	20
35.6	9
42.0	20
54.9	19
56.6	13
60.5	14
61.3	9

Structure:
a b c (Å): 8.780 8.780 8.780
angles (deg): 35.16 35.16 35.16
Atoms (fractional coordinates):
Cs 0.000 0.000 0.000
Zn 0.234 0.234 0.234
Zn 0.766 0.766 0.766
Ni 0.500 0.500 0.500
F 0.159 0.754 0.455
F 0.246 0.545 0.841
F 0.310 0.310 0.310
F 0.455 0.159 0.754
F 0.545 0.841 0.246
F 0.690 0.690 0.690
F 0.754 0.455 0.159
F 0.841 0.246 0.545